1.
LaY2Mg3AgHg2: computed powder diffractogram (Cu Kα (λ = 1.5418 Å)), based on DFT lattice parameters and positions (PBE).
Peak positions follow from Bragg's law for the DFT cell and can differ from measured ones.

Structural model:
a b c (Å): 4.2253 7.9018 7.9018
angles (deg): 120.43 90.00 90.00
Fractional positions:
La 0.0000 0.0000 0.0000
Y 0.0000 0.4109 0.8193
Y 0.0000 0.8193 0.4109
Mg 0.5000 0.1694 0.4158
Mg 0.5000 0.4158 0.1694
Mg 0.5000 0.6509 0.6509
Ag 0.0000 0.4173 0.4173
Hg 0.5000 0.0811 0.7366
Hg 0.5000 0.7366 0.0811

The 6 most intense peaks (15° ≤ 2θ ≤ 90°), most intense first:
2theta  d_spacing  Rel. int.
33.8  2.652  100
31.0  2.886  96
22.5  3.951  60
24.8  3.595  52
39.7  2.271  45
31.1  2.876  44

=====

2.
LiMgAgHg: computed powder diffractogram (Cu Kα (λ = 1.5418 Å)), based on DFT lattice parameters and positions (PBE).
Peak positions follow from Bragg's law for the DFT cell and can differ from measured ones.

Structural model:
a b c (Å): 4.7036 4.7036 4.7036
angles (deg): 60.00 60.00 60.00
Fractional positions:
Li 0.0000 0.0000 0.0000
Mg 0.5000 0.5000 0.5000
Ag 0.2500 0.2500 0.2500
Hg 0.7500 0.7500 0.7500

The 6 most intense peaks (15° ≤ 2θ ≤ 90°), most intense first:
2theta  d_spacing  Rel. int.
38.3  2.352  100
26.8  3.326  85
69.2  1.358  35
62.4  1.487  32
47.3  1.920  24
55.2  1.663  17

=====

3.
Pr3Mg3AgHgPd: computed powder diffractogram (Cu Kα (λ = 1.5418 Å)), based on DFT lattice parameters and positions (PBE).
Peak positions follow from Bragg's law for the DFT cell and can differ from measured ones.

Structural model:
a b c (Å): 7.8613 7.8613 4.2388
angles (deg): 90.00 90.00 120.00
Fractional positions:
Pr 0.0921 0.7415 0.0000
Pr 0.2585 0.3507 0.0000
Pr 0.6493 0.9079 0.0000
Mg 0.4260 0.0906 0.5000
Mg 0.6645 0.5740 0.5000
Mg 0.9094 0.3355 0.5000
Ag 0.6667 0.3333 0.0000
Hg 0.0000 0.0000 0.5000
Pd 0.3333 0.6667 0.5000

The 6 most intense peaks (15° ≤ 2θ ≤ 90°), most intense first:
2theta  d_spacing  Rel. int.
33.8  2.654  100
31.0  2.882  81
22.6  3.931  40
39.7  2.269  32
41.0  2.200  29
34.9  2.573  26

=====

4.
PrY2Mg3AgHg2: computed powder diffractogram (Cu Kα (λ = 1.5418 Å)), based on DFT lattice parameters and positions (PBE).
Peak positions follow from Bragg's law for the DFT cell and can differ from measured ones.

Structural model:
a b c (Å): 4.2072 7.8722 7.8722
angles (deg): 120.44 90.00 90.00
Fractional positions:
Pr 0.0000 0.0000 0.0000
Y 0.0000 0.4097 0.8181
Y 0.0000 0.8181 0.4097
Mg 0.5000 0.1669 0.4135
Mg 0.5000 0.4135 0.1669
Mg 0.5000 0.6522 0.6522
Ag 0.0000 0.4146 0.4146
Hg 0.5000 0.0793 0.7375
Hg 0.5000 0.7375 0.0793

The 6 most intense peaks (15° ≤ 2θ ≤ 90°), most intense first:
2theta  d_spacing  Rel. int.
31.1  2.874  100
33.9  2.641  99
22.6  3.936  60
24.9  3.580  52
39.8  2.262  46
33.8  2.652  45

=====

5.
Mg2Sc2Zn2AgHg: computed powder diffractogram (Cu Kα (λ = 1.5418 Å)), based on DFT lattice parameters and positions (PBE).
Peak positions follow from Bragg's law for the DFT cell and can differ from measured ones.

Structural model:
a b c (Å): 4.7664 4.7664 6.6888
angles (deg): 90.00 90.00 90.00
Fractional positions:
Mg 0.0000 0.5000 0.2431
Mg 0.5000 0.0000 0.7569
Sc 0.0000 0.5000 0.7530
Sc 0.5000 0.0000 0.2470
Zn 0.0000 0.0000 0.0000
Zn 0.5000 0.5000 0.5000
Ag 0.5000 0.5000 0.0000
Hg 0.0000 0.0000 0.5000

The 6 most intense peaks (15° ≤ 2θ ≤ 90°), most intense first:
2theta  d_spacing  Rel. int.
37.9  2.374  100
37.7  2.383  51
26.4  3.370  35
68.3  1.374  33
22.9  3.882  31
26.7  3.344  17

=====

6.
AgHgNO: computed powder diffractogram (Cu Kα (λ = 1.5418 Å)), based on DFT lattice parameters and positions (PBE).
Peak positions follow from Bragg's law for the DFT cell and can differ from measured ones.

Structural model:
a b c (Å): 3.4278 6.2462 6.0443
angles (deg): 90.00 90.00 90.00
Fractional positions:
Ag 0.0000 0.1669 0.0000
Ag 0.0000 0.8331 0.5000
Hg 0.5000 0.3460 0.5225
Hg 0.5000 0.6540 0.0225
N 0.5000 0.3252 0.8825
N 0.5000 0.6748 0.3825
O 0.0000 0.1576 0.3590
O 0.0000 0.8424 0.8590

The 6 most intense peaks (15° ≤ 2θ ≤ 90°), most intense first:
2theta  d_spacing  Rel. int.
33.3  2.691  100
32.3  2.775  64
29.6  3.022  52
29.7  3.005  38
54.9  1.673  30
51.3  1.780  27

=====

7.
Nd2AgHg3: computed powder diffractogram (Cu Kα (λ = 1.5418 Å)), based on DFT lattice parameters and positions (PBE).
Peak positions follow from Bragg's law for the DFT cell and can differ from measured ones.

Structural model:
a b c (Å): 10.0094 9.3398 6.0931
angles (deg): 77.74 65.76 36.50
Fractional positions:
Nd 0.2493 0.7507 0.7507
Nd 0.2500 0.2500 0.2500
Nd 0.7500 0.7500 0.7500
Nd 0.7507 0.2493 0.2493
Ag 0.1669 0.1669 0.8331
Ag 0.8331 0.8331 0.1669
Hg 0.1611 0.6697 0.3303
Hg 0.3303 0.8389 0.1611
Hg 0.3312 0.3312 0.6688
Hg 0.6688 0.6688 0.3312
Hg 0.6697 0.1611 0.8389
Hg 0.8389 0.3303 0.6697

The 6 most intense peaks (15° ≤ 2θ ≤ 90°), most intense first:
2theta  d_spacing  Rel. int.
33.0  2.712  100
35.9  2.502  96
65.4  1.428  34
49.6  1.839  32
62.7  1.482  32
44.6  2.031  19

=====

8.
Nd3AgHg3PdPt: computed powder diffractogram (Cu Kα (λ = 1.5418 Å)), based on DFT lattice parameters and positions (PBE).
Peak positions follow from Bragg's law for the DFT cell and can differ from measured ones.

Structural model:
a b c (Å): 7.9509 7.9509 3.8990
angles (deg): 90.00 90.00 120.00
Fractional positions:
Nd 0.0793 0.3409 0.0000
Nd 0.2617 0.9207 0.0000
Nd 0.6591 0.7383 0.0000
Ag 0.6667 0.3333 0.0000
Hg 0.3955 0.3258 0.5000
Hg 0.6742 0.0697 0.5000
Hg 0.9303 0.6045 0.5000
Pd 0.0000 0.0000 0.5000
Pt 0.3333 0.6667 0.5000

The 6 most intense peaks (15° ≤ 2θ ≤ 90°), most intense first:
2theta  d_spacing  Rel. int.
32.2  2.784  100
34.8  2.581  78
34.5  2.603  53
39.3  2.295  46
63.5  1.464  37
41.7  2.165  30